Structure and theoretical powder XRD pattern of Dy12Pd6Au (DFT lattice parameters and positions (GGA-PBE); Cu Kα (λ = 1.5418 Å)).

Largest 10 diffraction maxima, in order of falling intensity, 15 to 90 degrees two-theta:
h k l	d_spacing	Rel. int.
1 4 0	2.451	100
2 1 4	2.332	66
2 1 1	3.966	54
3 -2 2	3.379	53
3 1 2	2.720	42
7 -4 2	1.752	26
1 0 4	2.709	23
6 -4 4	1.689	21
4 -2 6	1.614	14
3 5 4	1.391	12

Crystal structure
```
data_Dy12Pd6Au
_symmetry_space_group_name_H-M 'R -3'
_symmetry_Int_Tables_number 148
_symmetry_space_group_name_Hall '-R 3'
_cell_length_a 12.9689
_cell_length_b 12.9689
_cell_length_c 11.1654
_cell_angle_alpha 90.00
_cell_angle_beta 90.00
_cell_angle_gamma 120.00
loop_
_atom_site_label
_atom_site_fract_x
_atom_site_fract_y
_atom_site_fract_z
_atom_site_occupancy
Dy1 0.0294 0.2118 0.3849 1
Dy2 0.0392 0.2124 0.8851 1
Pd1 0.0434 0.2618 0.6420 1
Au1 0.0000 0.0000 0.0000 1
```



Structure and theoretical powder XRD pattern of Dy2Pd12Au5 (DFT lattice parameters and positions (GGA-PBE); Cu Kα (λ = 1.5418 Å)).

Largest 10 diffraction maxima, in order of falling intensity, 15 to 90 degrees two-theta:
h k l	d_spacing	Rel. int.
4 2 -1	2.406	100
2 0 -3	2.131	53
2 2 2	2.295	43
1 3 -1	2.564	35
4 2 1	2.243	33
0 4 0	2.121	31
1 3 2	2.072	22
5 1 -2	2.031	21
1 1 2	2.867	20
0 2 5	1.243	15

Crystal structure
```
data_Dy2Pd12Au5
_symmetry_space_group_name_H-M 'C 1 2/m 1'
_symmetry_Int_Tables_number 12
_symmetry_space_group_name_Hall '-C 2y'
_cell_length_a 12.361
_cell_length_b 8.484
_cell_length_c 6.556
_cell_angle_alpha 90.00
_cell_angle_beta 97.44
_cell_angle_gamma 90.00
loop_
_atom_site_label
_atom_site_fract_x
_atom_site_fract_y
_atom_site_fract_z
_atom_site_occupancy
Dy1 0.000 0.227 0.000 1
Pd1 0.052 0.500 0.711 1
Pd2 0.104 0.276 0.429 1
Pd3 0.137 0.000 0.873 1
Pd4 0.238 0.316 0.818 1
Au1 0.000 0.000 0.500 1
Au2 0.142 0.500 0.118 1
Au3 0.226 0.000 0.507 1
```



Structure and theoretical powder XRD pattern of Dy2Pd7Au3 (DFT lattice parameters and positions (GGA-PBE); Cu Kα (λ = 1.5418 Å)).

Largest 10 diffraction maxima, in order of falling intensity, 15 to 90 degrees two-theta:
h k l	d_spacing	Rel. int.
1 -1 4	2.264	100
1 1 1	2.390	58
0 2 -3	2.174	42
1 -2 0	2.485	37
1 0 -4	2.344	35
-1 2 1	2.322	27
0 1 4	2.054	25
1 0 -3	2.847	24
-1 1 4	2.096	21
1 -1 1	3.834	18

Crystal structure
```
data_Dy2Pd7Au3
_symmetry_space_group_name_H-M 'P -1'
_symmetry_Int_Tables_number 2
_symmetry_space_group_name_Hall '-P 1'
_cell_length_a 4.533
_cell_length_b 5.149
_cell_length_c 10.717
_cell_angle_alpha 102.16
_cell_angle_beta 92.16
_cell_angle_gamma 113.11
loop_
_atom_site_label
_atom_site_fract_x
_atom_site_fract_y
_atom_site_fract_z
_atom_site_occupancy
Dy1 0.219 0.439 0.265 1
Pd1 0.000 0.000 0.000 1
Pd2 0.080 0.183 0.769 1
Pd3 0.170 0.311 0.530 1
Pd4 0.464 0.939 0.867 1
Au1 0.444 0.917 0.614 1
Au2 0.500 0.500 0.000 1
```